The following is a computed powder diffraction line list of ZrNiBi. It was derived from a structure optimized by DFT (GGA-PBE), using Cu Kα, 1.54184 Å.
No peak broadening, texture or thermal motion is included.

Atomic structure:
```
ZrNiBi
1.0
6.2919 0.0000 0.0000
0.0000 6.2919 0.0000
0.0000 0.0000 6.2919
Zr Ni Bi
4 4 4
Direct
0.0000 0.0000 0.0000 Zr
0.0000 0.5000 0.5000 Zr
0.5000 0.0000 0.5000 Zr
0.5000 0.5000 0.0000 Zr
0.2500 0.2500 0.2500 Ni
0.2500 0.7500 0.7500 Ni
0.7500 0.2500 0.7500 Ni
0.7500 0.7500 0.2500 Ni
0.0000 0.0000 0.5000 Bi
0.0000 0.5000 0.0000 Bi
0.5000 0.0000 0.0000 Bi
0.5000 0.5000 0.5000 Bi
```

The 10 most intense peaks (2θ from 10° to 90°), low angle first:
2θ = 24.5°, I 31, hkl 1 1 1; 2θ = 28.4°, I 53, hkl 2 0 0; 2θ = 40.6°, I 100, hkl 2 2 0; 2θ = 48.0°, I 17, hkl 3 1 1; 2θ = 50.2°, I 15, hkl 2 2 2; 2θ = 58.7°, I 17, hkl 4 0 0; 2θ = 64.6°, I 7, hkl 3 3 1; 2θ = 66.5°, I 20, hkl 4 2 0; 2θ = 73.8°, I 34, hkl 4 2 2; 2θ = 87.8°, I 11, hkl 4 4 0